1.
Fe2OF3: simulated powder diffraction line list (Cu Kα, 1.54184 Å), based on the GGA+U geometry in the Materials Project.
Intensities are scaled so that the largest is 100.

Atomic structure:
```
Fe2OF3
1.0
3.1266 -6.7247 0.0000
3.1266 6.7247 0.0000
0.0000 0.0000 6.9570
Fe O F
8 4 12
Cartesian
0.0000 0.0000 0.0000
1.5633 3.3624 0.0000
1.4166 0.0000 3.4785
3.1266 3.4101 3.4785
1.5633 -3.3624 0.0000
3.1266 0.0000 0.0000
3.1266 -3.4101 3.4785
4.8365 0.0000 3.4785
3.1266 5.4278 3.4785
3.1266 2.1582 0.0000
3.1266 -2.1582 0.0000
3.1266 -5.4278 3.4785
1.5633 3.3624 2.0298
1.5633 3.3624 4.9272
3.1266 4.7231 0.0000
1.5542 0.0000 1.4544
1.5542 0.0000 5.5026
3.1266 1.2689 3.4785
1.5633 -3.3624 2.0298
1.5633 -3.3624 4.9272
3.1266 -1.2689 3.4785
4.6990 0.0000 1.4544
4.6990 0.0000 5.5026
3.1266 -4.7231 0.0000
```

Peak list (10 most intense, 10 to 80 degrees two-theta, most intense first)
- 34.2 deg, d = 2.625 Å, I 100
- 26.5 deg, d = 3.362 Å, I 97
- 25.6 deg, d = 3.478 Å, I 90
- 51.9 deg, d = 1.762 Å, I 60
- 50.9 deg, d = 1.795 Å, I 58
- 65.1 deg, d = 1.433 Å, I 42
- 52.6 deg, d = 1.739 Å, I 22
- 38.7 deg, d = 2.325 Å, I 21
- 59.1 deg, d = 1.563 Å, I 17
- 54.6 deg, d = 1.681 Å, I 17

2.
Fe4O7F: simulated powder diffraction line list (Cu Kα, 1.54184 Å), based on the GGA+U geometry in the Materials Project.
Intensities are scaled so that the largest is 100.

Atomic structure:
```
Fe4O7F
1.0
4.4038 -3.3166 0.0000
4.4038 3.3166 0.0000
-0.5909 0.0000 8.8028
Fe O F
8 14 2
Cartesian
1.9065 1.6583 4.4014
3.1958 1.6906 1.0640
3.9607 1.8128 6.6021
5.3164 1.6906 3.3374
2.2019 -1.6583 0.0000
2.9004 -1.6906 5.4654
4.2561 -1.8128 2.2007
5.0209 -1.6906 7.7388
2.0320 1.6923 6.3532
4.2561 2.8459 2.2007
2.2389 0.3604 0.0269
3.8434 1.6841 4.6586
4.0780 1.6841 8.5456
1.9434 -0.3604 4.4283
5.8893 1.6923 6.8510
2.3275 -1.6923 1.9518
6.2733 0.3604 4.3745
4.1388 -1.6841 0.2572
4.3734 -1.6841 4.1442
5.9779 -0.3604 8.7759
3.9607 -2.8459 6.6021
6.1847 -1.6923 2.4496
4.2561 0.3112 2.2007
3.9607 -0.3112 6.6021
```

Peak list (10 most intense, 10 to 80 degrees two-theta, most intense first)
- 35.6 deg, d = 2.522 Å, I 100
- 26.9 deg, d = 3.317 Å, I 94
- 27.7 deg, d = 3.219 Å, I 93
- 53.3 deg, d = 1.717 Å, I 56
- 54.3 deg, d = 1.690 Å, I 54
- 68.4 deg, d = 1.371 Å, I 48
- 39.0 deg, d = 2.310 Å, I 19
- 55.4 deg, d = 1.658 Å, I 15
- 61.6 deg, d = 1.505 Å, I 15
- 57.2 deg, d = 1.610 Å, I 15